No. 1
Structure and computed powder X-ray diffraction pattern of NiMoPt6 (a crystal structure in Alexandria, relaxed with PBE; λ = 1.5418 Å (Cu Kα)).
Peak positions follow from Bragg's law for the DFT cell and can differ from measured ones.

Atomic structure:
```
NiMoPt6
1.0
8.836 0.000 0.000
0.000 3.904 0.000
-3.483 0.000 7.015
Ni Mo Pt
2 2 12
Cartesian
0.000 0.000 0.000 Ni
4.418 1.952 0.000 Ni
-1.741 0.000 3.508 Mo
2.677 1.952 3.508 Mo
-2.590 1.952 5.250 Pt
1.760 1.952 0.863 Pt
0.907 0.000 2.627 Pt
0.029 1.952 4.388 Pt
-0.825 0.000 6.152 Pt
3.526 0.000 1.765 Pt
1.828 0.000 5.250 Pt
6.178 0.000 0.863 Pt
4.447 0.000 4.388 Pt
5.325 1.952 2.627 Pt
3.593 1.952 6.152 Pt
7.944 1.952 1.765 Pt
```

Peak list (12 most intense, 10° ≤ 2θ ≤ 90°, low angle first)
two_theta  intensity
25.41  9
39.77  100
45.86  17
46.37  16
46.53  16
67.37  16
67.79  10
80.71  13
81.46  13
81.69  13
85.68  6
85.79  6

=====

No. 2
Structure and computed powder X-ray diffraction pattern of Ce2Au5 (a crystal structure in Alexandria, relaxed with PBE; λ = 1.5418 Å (Cu Kα)).
Peak positions follow from Bragg's law for the DFT cell and can differ from measured ones.

Atomic structure:
```
Ce2Au5
1.0
-3.839 6.574 3.132
3.839 -6.574 3.132
3.839 6.574 -3.132
Ce Au
4 10
Cartesian
1.496 1.447 0.000 Ce
1.496 -1.447 3.132 Ce
2.343 8.021 0.000 Ce
2.343 5.127 3.132 Ce
3.839 -2.893 1.566 Au
6.087 1.636 0.000 Au
3.839 0.000 1.566 Au
2.249 4.938 0.000 Au
3.839 2.893 1.566 Au
0.000 3.680 1.566 Au
1.590 1.636 3.132 Au
0.000 6.574 1.566 Au
-2.249 4.938 3.132 Au
0.000 9.467 1.566 Au
```

Peak list (12 most intense, 10° ≤ 2θ ≤ 90°, low angle first)
two_theta  intensity
31.60  46
35.74  36
35.97  86
36.11  38
37.04  100
39.75  82
47.36  13
58.30  37
58.98  16
63.50  17
68.42  15
71.08  48

=====

No. 3
Structure and computed powder X-ray diffraction pattern of LaPm3Rh8 (a crystal structure in Alexandria, relaxed with PBE; λ = 1.5418 Å (Cu Kα)).
Peak positions follow from Bragg's law for the DFT cell and can differ from measured ones.

Atomic structure:
```
LaPm3Rh8
1.0
2.705 1.562 8.845
-2.705 1.562 8.845
0.000 -3.123 8.845
La Pm Rh
1 3 8
Cartesian
0.000 0.000 0.000 La
0.000 0.000 3.323 Pm
0.000 0.000 13.262 Pm
0.000 0.000 16.580 Pm
0.000 -1.559 6.066 Rh
-1.351 0.780 6.066 Rh
-1.353 -0.781 10.518 Rh
0.000 0.000 8.288 Rh
1.351 0.780 6.066 Rh
1.353 -0.781 10.518 Rh
0.000 1.562 10.518 Rh
0.000 0.000 21.559 Rh
```

Peak list (11 most intense, 10° ≤ 2θ ≤ 90°, low angle first)
two_theta  intensity
33.10  38
39.03  100
40.84  30
47.52  1
59.13  14
63.12  32
69.47  26
79.14  6
82.66  8
82.71  3
83.85  11